Diffraction record for Ti2BeCo6. The powder XRD pattern is calculated, not measured: it uses the GGA-PBE geometry in Alexandria and a wavelength of 1.5418 Å.
Peak positions follow from Bragg's law for the DFT cell and can differ from measured ones.

Structural model:
```
data_Ti2BeCo6
_chemical_formula_sum 'Ti4 Be2 Co12'
_cell_length_a 11.498
_cell_length_b 7.389
_cell_length_c 2.530
_cell_angle_alpha 90.00
_cell_angle_beta 102.42
_cell_angle_gamma 90.00
_symmetry_space_group_name_H-M 'C 1 2/m 1'
_symmetry_Int_Tables_number 12
loop_
_symmetry_equiv_pos_as_xyz
'x,y,z'
'-x,-y,-z'
'-x,y,-z'
'x,-y,z'
'x+1/2,y+1/2,z'
'-x+1/2,-y+1/2,-z'
'-x+1/2,y+1/2,-z'
'x+1/2,-y+1/2,z'
loop_
_atom_site_label
_atom_site_fract_x
_atom_site_fract_y
_atom_site_fract_z
Ti1 0.133 0.000 0.012
Be1 0.000 0.500 0.000
Co1 0.000 0.239 0.500
Co2 0.176 0.341 0.222
```

Most intense lines, 2θ from 10° to 80°, low angle first:
| two_theta | I/Imax | h k l |
| --- | --- | --- |
| 24.09 | 24.4 | 0 2 0 |
| 37.38 | 20.1 | 1 3 0 |
| 40.35 | 25.8 | 4 2 0 |
| 40.92 | 17.4 | 1 1 1 |
| 43.05 | 41.8 | 2 0 1 |
| 43.27 | 67.8 | 4 0 -1 |
| 44.03 | 100.0 | 3 3 0 |
| 48.65 | 34.3 | 6 0 0 |
| 49.94 | 20.8 | 2 2 1 |
| 51.80 | 38.1 | 1 3 -1 |

Diffraction record for Sm3HoTl2. The powder XRD pattern is calculated, not measured: it uses the GGA-PBE geometry in Alexandria and a wavelength of 1.5418 Å.
Peak positions follow from Bragg's law for the DFT cell and can differ from measured ones.

Structural model:
```
data_Sm3HoTl2
_chemical_formula_sum 'Sm6 Ho2 Tl4'
_cell_length_a 5.184
_cell_length_b 10.197
_cell_length_c 6.822
_cell_angle_alpha 90.00
_cell_angle_beta 90.00
_cell_angle_gamma 90.00
_symmetry_space_group_name_H-M 'P m c 21'
_symmetry_Int_Tables_number 26
loop_
_symmetry_equiv_pos_as_xyz
'x,y,z'
'-x,-y,z+1/2'
'-x,y,z'
'x,-y,z+1/2'
loop_
_atom_site_label
_atom_site_fract_x
_atom_site_fract_y
_atom_site_fract_z
Sm1 0.000 0.039 0.000
Sm2 0.000 0.320 0.364
Sm3 0.500 0.188 0.729
Ho1 0.500 0.461 0.089
Tl1 0.000 0.365 0.841
Tl2 0.500 0.138 0.254
```

Most intense lines, 2θ from 10° to 80°, low angle first:
| two_theta | I/Imax | h k l |
| --- | --- | --- |
| 31.45 | 100.0 | 1 3 0 |
| 31.56 | 15.9 | 0 2 2 |
| 32.63 | 52.5 | 1 1 2 |
| 34.17 | 18.6 | 1 3 1 |
| 34.60 | 36.7 | 2 0 0 |
| 37.35 | 15.2 | 0 3 2 |
| 47.53 | 10.3 | 2 2 2 |
| 51.83 | 12.0 | 2 3 2 |
| 60.04 | 16.0 | 3 3 0 |
| 60.76 | 10.9 | 3 1 2 |

Diffraction record for Pm2SmYTm. The powder XRD pattern is calculated, not measured: it uses the GGA-PBE geometry in Alexandria and a wavelength of 1.5418 Å.
Peak positions follow from Bragg's law for the DFT cell and can differ from measured ones.

Structural model:
```
data_Pm2SmYTm
_chemical_formula_sum 'Pm8 Sm4 Y4 Tm4'
_cell_length_a 8.314
_cell_length_b 11.606
_cell_length_c 7.274
_cell_angle_alpha 90.00
_cell_angle_beta 90.00
_cell_angle_gamma 90.00
_symmetry_space_group_name_H-M 'C m c m'
_symmetry_Int_Tables_number 63
_symmetry_space_group_name_Hall '-C 2c 2'
loop_
_atom_site_label
_atom_site_fract_x
_atom_site_fract_y
_atom_site_fract_z
Pm1 0.193 0.000 0.000
Sm1 0.000 0.467 0.250
Y1 0.000 0.243 0.750
Tm1 0.000 0.207 0.250
```

Most intense lines, 2θ from 10° to 80°, low angle first:
| two_theta | I/Imax | h k l |
| --- | --- | --- |
| 15.27 | 30.7 | 0 2 0 |
| 26.37 | 44.8 | 2 2 0 |
| 27.86 | 30.8 | 1 1 2 |
| 28.97 | 53.1 | 0 2 2 |
| 30.82 | 46.9 | 0 4 0 |
| 32.72 | 100.0 | 2 0 2 |
| 33.24 | 44.7 | 3 1 0 |
| 35.55 | 56.5 | 1 3 2 |
| 40.02 | 38.7 | 3 3 0 |
| 45.56 | 49.1 | 2 4 2 |

Diffraction record for K2HS2. The powder XRD pattern is calculated, not measured: it uses the GGA-PBE geometry in Alexandria and a wavelength of 1.5418 Å.
Peak positions follow from Bragg's law for the DFT cell and can differ from measured ones.

Structural model:
```
data_K2HS2
_chemical_formula_sum 'K8 H4 S8'
_cell_length_a 4.470
_cell_length_b 17.438
_cell_length_c 7.474
_cell_angle_alpha 90.00
_cell_angle_beta 90.00
_cell_angle_gamma 90.00
_symmetry_space_group_name_H-M 'C m c 21'
_symmetry_Int_Tables_number 36
loop_
_symmetry_equiv_pos_as_xyz
'x,y,z'
'-x,-y,z+1/2'
'-x,y,z'
'x,-y,z+1/2'
'x+1/2,y+1/2,z'
'-x+1/2,-y+1/2,z+1/2'
'-x+1/2,y+1/2,z'
'x+1/2,-y+1/2,z+1/2'
loop_
_atom_site_label
_atom_site_fract_x
_atom_site_fract_y
_atom_site_fract_z
K1 0.000 0.014 0.000
K2 0.000 0.221 0.691
H1 0.000 0.395 0.053
S1 0.000 0.151 0.286
S2 0.000 0.413 0.229
```

Most intense lines, 2θ from 10° to 80°, low angle first:
| two_theta | I/Imax | h k l |
| --- | --- | --- |
| 20.51 | 23.7 | 1 1 0 |
| 23.80 | 24.2 | 0 0 2 |
| 25.94 | 40.6 | 0 2 2 |
| 27.86 | 100.0 | 1 3 1 |
| 31.58 | 44.0 | 0 4 2 |
| 32.56 | 51.9 | 1 5 0 |
| 34.76 | 17.4 | 1 5 1 |
| 34.89 | 54.2 | 1 3 2 |
| 40.35 | 28.6 | 2 0 0 |
| 43.24 | 25.9 | 0 8 1 |